This entry pairs a crystal structure of Na3Sc3GeO8 with its calculated powder diffraction line list. Radiation: copper Kα. Structure: a structure optimized by DFT (GGA-PBE).
Intensities are scaled so that the largest is 100.

Top 10 peaks for 2θ from 5° to 70°, in order of falling intensity:
d/Å  two_theta  I_rel  (hkl)
2.266  39.77  100  0 2 4
5.523  16.05  81  0 0 3
1.563  59.10  28  2 2 0
1.645  55.89  26  2 0 8
5.147  17.23  24  1 0 1
2.574  34.86  23  2 0 2
2.672  33.54  15  0 2 1
1.782  51.27  14  0 2 7
2.761  32.42  13  0 0 6
1.504  61.66  10  2 2 3

Crystal structure
Unit cell a=6.2531 b=6.2531 c=16.5684 alpha=90.00 beta=90.00 gamma=120.00
Space group R-3m (No. 166, hexagonal axes)
Asymmetric unit:
Na 0.0000 0.5000 0.0000 [9 per cell]
Sc 0.0000 0.5000 0.5000 [9 per cell]
Ge 0.0000 0.0000 0.5000 [3 per cell]
O 0.0000 0.0000 0.2324 [6 per cell]
O 0.0265 0.5132 0.2305 [18 per cell]

---

This entry pairs a crystal structure of NaSc4Ge3O12 with its calculated powder diffraction line list. Radiation: copper Kα. Structure: a structure optimized by DFT (GGA-PBE).
Intensities are scaled so that the largest is 100.

Top 10 peaks for 2θ from 5° to 70°, in order of falling intensity:
d/Å  two_theta  I_rel  (hkl)
2.748  32.59  100  2 2 0
1.586  58.15  55  4 2 2
1.943  46.76  24  4 0 0
5.495  16.13  17  1 1 0
1.374  68.27  12  4 4 0
3.173  28.13  10  2 1 1
2.457  36.57  10  3 0 1
2.243  40.20  5  2 2 2
1.832  49.78  4  3 3 0
2.077  43.58  4  3 1 2

Crystal structure
Unit cell a=7.7712 b=7.7712 c=7.7712 alpha=90.00 beta=90.00 gamma=90.00
Space group Im-3 (No. 204)
Asymmetric unit:
Na 0.0000 0.0000 0.0000 [2 per cell]
Sc 0.2500 0.2500 0.2500 [8 per cell]
Ge 0.0000 0.0000 0.5000 [6 per cell]
O 0.0000 0.1686 0.3251 [24 per cell]

---

This entry pairs a crystal structure of Na4SrGe6O15 with its calculated powder diffraction line list. Radiation: copper Kα. Structure: a structure optimized by DFT (GGA-PBE).
Intensities are scaled so that the largest is 100.

Top 10 peaks for 2θ from 5° to 70°, in order of falling intensity:
d/Å  two_theta  I_rel  (hkl)
2.543  35.29  100  2 0 2
2.771  32.30  92  2 2 0
3.748  23.74  89  2 0 1
9.600  9.21  77  1 0 0
1.874  48.59  46  4 0 2
1.552  59.55  37  2 4 2
4.800  18.48  21  2 0 0
2.823  31.69  17  3 0 1
2.663  33.66  17  1 3 0
1.978  45.88  15  4 1 1

Crystal structure
Unit cell a=11.0850 b=11.0850 c=5.9982 alpha=90.00 beta=90.00 gamma=120.00
Space group P6_3/m (No. 176)
Asymmetric unit:
Na 0.0000 0.0000 0.0000 [2 per cell]
Na 0.1239 0.8367 0.2500 [6 per cell]
Sr 0.3333 0.6667 0.2500 [2 per cell]
Ge 0.0000 0.5000 0.0000 [6 per cell]
Ge 0.1734 0.7864 0.7500 [6 per cell]
O 0.0791 0.4609 0.2500 [6 per cell]
O 0.0860 0.4453 0.7500 [6 per cell]
O 0.0860 0.8808 0.7500 [6 per cell]
O 0.1530 0.6865 0.5050 [12 per cell]

---

This entry pairs a crystal structure of NaTa2GeO8 with its calculated powder diffraction line list. Radiation: copper Kα. Structure: a structure optimized by DFT (GGA-PBE).
Intensities are scaled so that the largest is 100.

Top 10 peaks for 2θ from 5° to 70°, in order of falling intensity:
d/Å  two_theta  I_rel  (hkl)
2.630  34.09  100  1 1 2
4.720  18.80  86  1 1 0
3.451  25.82  68  0 2 0
3.234  27.58  56  2 0 0
1.726  53.07  48  0 4 0
1.789  51.06  45  1 3 2
2.360  38.14  27  2 2 0
2.334  38.58  27  0 2 2
1.409  66.34  24  3 3 2
2.058  44.00  15  3 1 0

Crystal structure
Unit cell a=6.4682 b=6.9019 c=6.3351 alpha=90.00 beta=90.00 gamma=90.00
Space group Cmmm (No. 65)
Asymmetric unit:
Na 0.0000 0.0000 0.0000 [2 per cell]
Ta 0.0000 0.5000 0.2423 [4 per cell]
Ge 0.0000 0.0000 0.5000 [2 per cell]
O 0.0000 0.2980 0.5000 [4 per cell]
O 0.0000 0.3211 0.0000 [4 per cell]
O 0.2041 0.0000 0.2913 [8 per cell]

---

This entry pairs a crystal structure of Na2TiGeO5 with its calculated powder diffraction line list. Radiation: copper Kα. Structure: a structure optimized by DFT (GGA-PBE).
Intensities are scaled so that the largest is 100.

Top 10 peaks for 2θ from 5° to 70°, in order of falling intensity:
d/Å  two_theta  I_rel  (hkl)
2.827  31.65  100  2 0 1
5.237  16.93  37  0 0 1
1.759  51.98  27  2 2 2
3.358  26.54  25  2 0 0
1.444  64.55  22  4 2 1
1.679  54.66  19  4 0 0
2.375  37.89  18  2 2 0
1.549  59.70  10  2 0 3
3.518  25.32  9  1 1 1
4.130  21.52  9  1 0 1

Crystal structure
Unit cell a=6.7168 b=6.7168 c=5.2370 alpha=90.00 beta=90.00 gamma=90.00
Space group P4/nmm (No. 129, origin choice 2)
Asymmetric unit:
Na 0.0000 0.0000 0.0000 [4 per cell]
Ti 0.2500 0.2500 0.4276 [2 per cell]
Ge 0.2500 0.7500 0.5000 [2 per cell]
O 0.0339 0.7500 0.6945 [8 per cell]
O 0.2500 0.2500 0.7559 [2 per cell]

---

This entry pairs a crystal structure of NaTlGeO3 with its calculated powder diffraction line list. Radiation: copper Kα. Structure: a structure optimized by DFT (GGA-PBE).
Intensities are scaled so that the largest is 100.

Top 10 peaks for 2θ from 5° to 70°, in order of falling intensity:
d/Å  two_theta  I_rel  (hkl)
2.736  32.73  100  1 3 1
3.759  23.67  65  1 1 1
2.949  30.31  35  2 0 0
1.993  45.50  32  2 0 2
2.705  33.11  27  0 0 2
1.658  55.40  23  3 3 1
2.822  31.71  23  0 4 0
5.644  15.70  20  0 2 0
1.568  58.91  19  1 3 3
2.613  34.31  17  2 2 0

Crystal structure
Unit cell a=5.8970 b=11.2873 c=5.4108 alpha=90.00 beta=90.00 gamma=90.00
Space group Cmcm (No. 63)
Asymmetric unit:
Na 0.0000 0.0831 0.2500 [4 per cell]
Tl 0.0000 0.2398 0.7500 [4 per cell]
Ge 0.0000 0.4501 0.2500 [4 per cell]
O 0.0000 0.2929 0.2500 [4 per cell]
O 0.2094 0.5000 0.0000 [8 per cell]